Starting from a crystal structure in Alexandria, relaxed with PBE, the powder diffraction line list of Sm2Zn3Sn was simulated for a wavelength of 1.5418 Å.
Kinematic intensities with the Lorentz-polarization factor, no thermal factor.

Peak list (10 most intense, 2θ = 5–70°, sorted by position)
(0 1 1), 2θ = 22.42°, rel. 11
(1 1 1), 2θ = 32.88°, rel. 100
(0 1 3), 2θ = 39.30°, rel. 36
(0 2 0), 2θ = 39.48°, rel. 19
(2 0 0), 2θ = 48.57°, rel. 10
(1 0 4), 2θ = 52.07°, rel. 9
(1 2 2), 2θ = 52.26°, rel. 18
(2 1 3), 2θ = 64.18°, rel. 17
(2 2 0), 2θ = 64.31°, rel. 9
(1 3 1), 2θ = 67.46°, rel. 8

Structural model:
Cell lengths 3.7487, 4.5655, 7.9531 Å; angles 90.00, 90.00, 90.00 degrees
Space group Pmm2 (No. 25)
Symmetry-distinct sites (fractional):
Sm (0.0000, 0.0000, 0.0000) x1
Sm (0.0000, 0.5000, 0.4811) x1
Zn (0.5000, 0.0000, 0.3184) x1
Zn (0.5000, 0.0000, 0.6372) x1
Zn (0.5000, 0.5000, 0.1707) x1
Sn (0.5000, 0.5000, 0.8242) x1